# HfMo
Theoretical XRD peak list, Cu Kα X-rays. Input: a cell relaxed with PBE.

Crystal structure
Unit cell a=7.1717 b=7.1717 c=7.1717 alpha=92.81 beta=92.81 gamma=154.44
Sites, in units of the cell vectors:
Hf (0.1570, 0.1570, 0.3141)
Hf (0.1570, 0.8430, 0.0000)
Hf (0.8430, 0.1570, 0.0000)
Hf (0.8430, 0.8430, 0.6859)
Mo (0.1560, 0.5000, 0.6560)
Mo (0.5000, 0.1560, 0.6560)
Mo (0.5000, 0.8440, 0.3440)
Mo (0.8440, 0.5000, 0.3440)

Most intense lines, 10° ≤ 2θ ≤ 90°, in order of rising 2θ:
- 28.5 deg, d 3.128, rel. 18
- 29.6 deg, d 3.021, rel. 17
- 36.3 deg, d 2.473, rel. 10
- 38.6 deg, d 2.331, rel. 51
- 39.4 deg, d 2.286, rel. 100
- 54.7 deg, d 1.679, rel. 12
- 55.8 deg, d 1.649, rel. 17
- 70.4 deg, d 1.337, rel. 32
- 72.0 deg, d 1.312, rel. 16
- 84.8 deg, d 1.143, rel. 10